For NaCrP2O7, a cell relaxed with GGA+U gives the computed powder X-ray diffraction pattern in this record (Cu Ka).
No peak broadening, texture or thermal motion is included.

Main lines, by angle (2θ from 10° to 80°):
d (Å), 2theta, I (rel.)
5.176, 17.13, 55
4.038, 22.01, 17
3.901, 22.80, 33
3.452, 25.81, 13
3.437, 25.92, 27
3.158, 28.26, 45
3.126, 28.56, 30
2.979, 29.99, 100
2.588, 34.66, 17
2.300, 39.16, 14
2.290, 39.35, 11
1.848, 49.31, 15

Crystal structure
```
data_NaCrP2O7
_cell_length_a 7.395
_cell_length_b 7.995
_cell_length_c 9.614
_cell_angle_alpha 90.00
_cell_angle_beta 111.63
_cell_angle_gamma 90.00
_space_group_name_H-M_alt 'P 1 21/c 1'
_space_group_IT_number 14
loop_
_space_group_symop_operation_xyz
'x,y,z'
'-x,-y,-z'
'-x,y+1/2,-z+1/2'
'x,-y+1/2,z+1/2'
loop_
_atom_site_label
_atom_site_type_symbol
_atom_site_fract_x
_atom_site_fract_y
_atom_site_fract_z
Na1 Na 0.210 0.025 0.207
Cr1 Cr 0.242 0.007 0.752
P1 P 0.172 0.710 0.953
P2 P 0.427 0.245 0.046
O1 O 0.033 0.587 0.846
O2 O 0.138 0.606 0.400
O3 O 0.189 0.700 0.116
O4 O 0.313 0.213 0.879
O5 O 0.314 0.136 0.605
O6 O 0.377 0.653 0.939
O7 O 0.488 0.085 0.140
```